Structure and calculated PXRD pattern of Rb3LiPa3Se8 (a cell relaxed with GGA-PBE; Cu Kα (λ = 1.5418 Å)).
Neutral-atom scattering factors, no anomalous dispersion.

Principal peaks in the range 2θ from 15° to 90°, in order of rising 2θ:
2θ (°)  I/Imax
19.00  11
28.57  100
35.70  20
38.56  33
43.02  36
44.52  11
48.11  11
52.46  19
63.77  12
70.10  16

Structure:
```
Rb3LiPa3Se8
1.0
4.2048 2.4276 8.1149
-4.2048 2.4276 8.1149
0.0000 -4.8552 8.1149
Rb Li Pa Se
3 1 3 8
Direct
0.0000 0.5000 0.5000 Rb
0.5000 0.0000 0.5000 Rb
0.5000 0.5000 0.0000 Rb
0.5000 0.5000 0.5000 Li
0.0000 0.0000 0.5000 Pa
0.0000 0.5000 0.0000 Pa
0.5000 0.0000 0.0000 Pa
0.2200 0.7347 0.7347 Se
0.2331 0.2331 0.2331 Se
0.2653 0.2653 0.7800 Se
0.2653 0.7800 0.2653 Se
0.7347 0.2200 0.7347 Se
0.7347 0.7347 0.2200 Se
0.7669 0.7669 0.7669 Se
0.7800 0.2653 0.2653 Se
```

=====

Structure and calculated PXRD pattern of TbNdZnIr (a cell relaxed with GGA-PBE; Cu Kα (λ = 1.5418 Å)).
Neutral-atom scattering factors, no anomalous dispersion.

Principal peaks in the range 2θ from 15° to 90°, in order of rising 2θ:
2θ (°)  I/Imax
16.36  21
31.48  100
33.06  21
33.57  36
39.03  28
39.48  66
41.01  29
45.81  21
54.00  19
79.45  17

Structure:
```
TbNdZnIr
1.0
4.4015 0.0000 0.0000
0.0000 3.9617 0.0000
0.0000 0.0000 10.8392
Tb Nd Zn Ir
2 2 2 2
Direct
0.0000 0.0000 0.0000 Tb
0.0000 0.5000 0.5000 Tb
0.5000 0.0000 0.2797 Nd
0.5000 0.5000 0.7797 Nd
0.0000 0.0000 0.7061 Zn
0.0000 0.5000 0.2061 Zn
0.5000 0.0000 0.5656 Ir
0.5000 0.5000 0.0656 Ir
```